Simulated X-ray diffraction stick pattern of Rb3PrF6 for a wavelength of 1.5418 Å, from the PBE geometry in the Materials Project.
Intensities are scaled so that the largest is 100.

The 10 most intense peaks (2θ from 5° to 70°), low angle first:
14.9°, I 21
23.6°, I 100
24.8°, I 95
33.7°, I 28
36.9°, I 20
42.2°, I 60
44.3°, I 36
50.8°, I 18
55.1°, I 17
67.6°, I 17

Structure:
a = 7.218 Å, b = 7.218 Å, c = 7.218 Å
α = 117.14°, β = 117.14°, γ = 95.02°
Sites, in units of the cell vectors:
Rb 0.000 0.000 0.000
Rb 0.250 0.750 0.500
Rb 0.750 0.250 0.500
Pr 0.500 0.500 0.000
F 0.192 0.500 0.692
F 0.262 0.262 0.000
F 0.500 0.192 0.692
F 0.500 0.808 0.308
F 0.738 0.738 0.000
F 0.808 0.500 0.308

Simulated X-ray diffraction stick pattern of PrGeBO5 for a wavelength of 1.5418 Å, from the PBE geometry in the Materials Project.
Intensities are scaled so that the largest is 100.

The 10 most intense peaks (2θ from 5° to 70°), low angle first:
19.5°, I 24
25.3°, I 90
29.3°, I 63
29.9°, I 100
36.6°, I 22
39.6°, I 26
47.6°, I 71
52.4°, I 21
54.3°, I 31
68.2°, I 21

Structure:
a = 7.038 Å, b = 7.038 Å, c = 6.850 Å
α = 90.00°, β = 90.00°, γ = 120.00°
Sites, in units of the cell vectors:
Pr 0.083 0.747 0.000
Pr 0.253 0.336 0.333
Pr 0.664 0.917 0.667
Ge 0.084 0.756 0.500
Ge 0.244 0.327 0.833
Ge 0.673 0.916 0.167
B 0.567 0.217 0.967
B 0.650 0.433 0.634
B 0.783 0.350 0.301
O 0.018 0.528 0.340
O 0.054 0.176 0.653
O 0.122 0.946 0.319
O 0.194 0.473 0.010
O 0.279 0.806 0.677
O 0.341 0.192 0.995
O 0.472 0.490 0.674
O 0.510 0.982 0.007
O 0.527 0.721 0.344
O 0.623 0.355 0.432
O 0.645 0.267 0.766
O 0.733 0.377 0.099
O 0.808 0.149 0.328
O 0.824 0.878 0.986
O 0.851 0.659 0.661

Simulated X-ray diffraction stick pattern of Zn2InN2 for a wavelength of 1.5418 Å, from the PBE geometry in the Materials Project.
Intensities are scaled so that the largest is 100.

The 10 most intense peaks (2θ from 5° to 70°), low angle first:
27.8°, I 3
32.7°, I 100
41.0°, I 56
42.2°, I 17
52.4°, I 37
63.1°, I 14
65.9°, I 11
68.6°, I 11
69.4°, I 14
69.5°, I 7

Structure:
a = 6.051 Å, b = 3.495 Å, c = 6.420 Å
α = 90.00°, β = 90.11°, γ = 90.00°
Sites, in units of the cell vectors:
Zn 0.167 0.000 0.357
Zn 0.333 0.500 0.643
Zn 0.667 0.500 0.357
Zn 0.833 0.000 0.643
In 0.000 0.500 0.000
In 0.500 0.000 0.000
N 0.167 0.000 0.720
N 0.333 0.500 0.280
N 0.667 0.500 0.720
N 0.833 0.000 0.280